1.
For Y2ThPtN4, a DFT-relaxed cell (GGA-PBE, Alexandria) gives the theoretical powder X-ray diffraction pattern in this record (Cu Ka).
No peak broadening, texture or thermal motion is included.

Atomic structure:
```
Y2ThPtN4
1.0
1.7298 -5.8777 0.0000
1.7298 5.8777 0.0000
0.0000 0.0000 11.7632
Y Th Pt N
4 2 2 8
direct
0.1276 0.8724 0.5499
0.1276 0.8724 0.9501
0.8724 0.1276 0.0499
0.8724 0.1276 0.4501
0.3853 0.6147 0.7500
0.6147 0.3853 0.2500
0.3529 0.6471 0.2500
0.6471 0.3529 0.7500
0.0400 0.9600 0.7500
0.2174 0.7826 0.1272
0.2174 0.7826 0.3728
0.5000 0.5000 0.0000
0.5000 0.5000 0.5000
0.7826 0.2174 0.6272
0.7826 0.2174 0.8728
0.9600 0.0400 0.2500
```

Peak list (12 most intense, 10° ≤ 2θ ≤ 90°, sorted by position)
2θ = 15.06°, intensity 74
2θ = 30.41°, intensity 100
2θ = 30.94°, intensity 99
2θ = 35.44°, intensity 22
2θ = 37.92°, intensity 85
2θ = 41.01°, intensity 23
2θ = 43.54°, intensity 29
2θ = 46.70°, intensity 21
2θ = 49.36°, intensity 23
2θ = 52.52°, intensity 18
2θ = 52.93°, intensity 18
2θ = 62.27°, intensity 27

2.
For Ti8Pt2N3, a DFT-relaxed cell (GGA-PBE, Alexandria) gives the theoretical powder X-ray diffraction pattern in this record (Cu Ka).
No peak broadening, texture or thermal motion is included.

Atomic structure:
```
Ti8Pt2N3
1.0
5.9867 -3.0203 0.0000
5.9867 3.0203 0.0000
-1.7462 0.0000 5.3347
Ti Pt N
8 2 3
direct
0.0950 0.0950 0.3902
0.1392 0.6633 0.1126
0.3367 0.8608 0.8874
0.3824 0.3824 0.4977
0.6176 0.6176 0.5023
0.6633 0.1392 0.1126
0.8608 0.3367 0.8874
0.9050 0.9050 0.6098
0.2693 0.2693 0.8032
0.7307 0.7307 0.1968
0.0000 0.0000 0.0000
0.2456 0.7544 0.5000
0.7544 0.2456 0.5000
```

Peak list (12 most intense, 10° ≤ 2θ ≤ 90°, sorted by position)
2θ = 15.57°, intensity 49
2θ = 21.77°, intensity 100
2θ = 25.27°, intensity 88
2θ = 28.41°, intensity 89
2θ = 29.58°, intensity 34
2θ = 33.59°, intensity 60
2θ = 35.36°, intensity 31
2θ = 36.25°, intensity 41
2θ = 38.42°, intensity 51
2θ = 39.93°, intensity 58
2θ = 44.39°, intensity 31
2θ = 51.77°, intensity 46

3.
For Ti5Pt2N, a DFT-relaxed cell (GGA-PBE, Alexandria) gives the theoretical powder X-ray diffraction pattern in this record (Cu Ka).
No peak broadening, texture or thermal motion is included.

Atomic structure:
```
Ti5Pt2N
1.0
2.0399 -6.7734 0.0000
2.0399 6.7734 0.0000
0.0000 0.0000 10.3334
Ti Pt N
10 4 2
direct
0.0837 0.9163 0.6144
0.0837 0.9163 0.8856
0.2930 0.7070 0.5802
0.2930 0.7070 0.9198
0.2966 0.7034 0.2500
0.7034 0.2966 0.7500
0.7070 0.2930 0.0802
0.7070 0.2930 0.4198
0.9163 0.0837 0.1144
0.9163 0.0837 0.3856
0.1057 0.8943 0.1233
0.1057 0.8943 0.3767
0.8943 0.1057 0.6233
0.8943 0.1057 0.8767
0.2010 0.7990 0.7500
0.7990 0.2010 0.2500
```

Peak list (12 most intense, 10° ≤ 2θ ≤ 90°, sorted by position)
2θ = 15.64°, intensity 69
2θ = 22.76°, intensity 100
2θ = 26.32°, intensity 29
2θ = 29.08°, intensity 36
2θ = 30.78°, intensity 28
2θ = 34.73°, intensity 29
2θ = 39.64°, intensity 27
2θ = 39.94°, intensity 75
2θ = 41.93°, intensity 48
2θ = 44.09°, intensity 22
2θ = 44.41°, intensity 28
2θ = 53.95°, intensity 56

4.
For Ti6Pt3N, a DFT-relaxed cell (GGA-PBE, Alexandria) gives the theoretical powder X-ray diffraction pattern in this record (Cu Ka).
No peak broadening, texture or thermal motion is included.

Atomic structure:
```
Ti6Pt3N
1.0
4.7002 -2.8238 0.0000
4.7002 2.8238 0.0000
-2.0364 0.0000 5.9883
Ti Pt N
6 3 1
direct
0.1392 0.6577 0.6407
0.1813 0.1813 0.8387
0.3423 0.8608 0.3593
0.6577 0.1392 0.6407
0.8187 0.8187 0.1613
0.8608 0.3423 0.3593
0.3231 0.3231 0.2654
0.5000 0.5000 0.0000
0.6769 0.6769 0.7346
0.0000 0.0000 0.5000
```

Peak list (12 most intense, 10° ≤ 2θ ≤ 90°, sorted by position)
2θ = 18.61°, intensity 94
2θ = 25.81°, intensity 100
2θ = 28.59°, intensity 24
2θ = 31.69°, intensity 37
2θ = 33.11°, intensity 29
2θ = 38.35°, intensity 59
2θ = 38.62°, intensity 41
2θ = 41.41°, intensity 29
2θ = 43.19°, intensity 64
2θ = 44.29°, intensity 49
2θ = 46.17°, intensity 41
2θ = 71.90°, intensity 27

5.
For Ti6PtN, a DFT-relaxed cell (GGA-PBE, Alexandria) gives the theoretical powder X-ray diffraction pattern in this record (Cu Ka).
No peak broadening, texture or thermal motion is included.

Atomic structure:
```
Ti6PtN
1.0
4.7044 0.0000 0.0000
-0.1109 5.2590 0.0000
-2.0569 -0.7354 4.8991
Ti Pt N
6 1 1
direct
0.0598 0.2966 0.1592
0.2120 0.8292 0.4526
0.4090 0.3932 0.7454
0.5910 0.6068 0.2546
0.7880 0.1708 0.5474
0.9402 0.7034 0.8408
0.5000 0.0000 0.0000
0.0000 0.5000 0.5000
```

Peak list (12 most intense, 10° ≤ 2θ ≤ 90°, sorted by position)
2θ = 17.05°, intensity 26
2θ = 18.11°, intensity 30
2θ = 20.50°, intensity 27
2θ = 21.45°, intensity 35
2θ = 25.73°, intensity 23
2θ = 26.80°, intensity 29
2θ = 38.22°, intensity 51
2θ = 38.34°, intensity 54
2θ = 38.98°, intensity 100
2θ = 39.97°, intensity 53
2θ = 40.33°, intensity 53
2θ = 53.41°, intensity 22

6.
For V3Pt2N, a DFT-relaxed cell (GGA-PBE, Alexandria) gives the theoretical powder X-ray diffraction pattern in this record (Cu Ka).
No peak broadening, texture or thermal motion is included.

Atomic structure:
```
V3Pt2N
1.0
6.7177 0.0000 0.0000
0.0000 6.7177 0.0000
0.0000 0.0000 6.7177
V Pt N
12 8 4
direct
0.0445 0.1250 0.7945
0.1250 0.7945 0.0445
0.2055 0.5445 0.3750
0.2945 0.4555 0.8750
0.3750 0.2055 0.5445
0.4555 0.8750 0.2945
0.5445 0.3750 0.2055
0.6250 0.7055 0.9555
0.7055 0.9555 0.6250
0.7945 0.0445 0.1250
0.8750 0.2945 0.4555
0.9555 0.6250 0.7055
0.0570 0.9430 0.4430
0.1930 0.1930 0.1930
0.3070 0.8070 0.6930
0.4430 0.0570 0.9430
0.5570 0.5570 0.5570
0.6930 0.3070 0.8070
0.8070 0.6930 0.3070
0.9430 0.4430 0.0570
0.1250 0.3750 0.6250
0.3750 0.6250 0.1250
0.6250 0.1250 0.3750
0.8750 0.8750 0.8750
```

Peak list (12 most intense, 10° ≤ 2θ ≤ 90°, sorted by position)
2θ = 18.68°, intensity 43
2θ = 22.93°, intensity 58
2θ = 37.88°, intensity 31
2θ = 40.28°, intensity 100
2θ = 42.56°, intensity 47
2θ = 44.74°, intensity 41
2θ = 48.88°, intensity 16
2θ = 50.86°, intensity 41
2θ = 56.48°, intensity 25
2θ = 71.63°, intensity 42
2θ = 76.34°, intensity 34
2θ = 87.03°, intensity 15